(1)
Simulated PXRD pattern of RbNaI for a wavelength of 1.5418 Å, from a structure optimized by DFT (PBE).
Lines closer than 0.1° are merged.

Peak list (10 most intense, 2θ from 15° to 90°, low angle first)
19.0 deg, I 25
20.9 deg, I 18
22.6 deg, I 38
27.2 deg, I 100
28.6 deg, I 64
29.8 deg, I 48
33.3 deg, I 36
35.9 deg, I 22
46.5 deg, I 34
52.3 deg, I 19

Crystal structure
Cell: 5.007 4.615 12.740 Å, 90.00 90.00 90.00°
Positions (direct):
Rb 0.000 0.000 0.000
Rb 0.495 0.000 0.351
Na 0.496 0.000 0.693
Na 0.995 0.500 0.577
I 0.500 0.500 0.883
I 0.995 0.500 0.232

---

(2)
Simulated PXRD pattern of Pm2InTe3 for a wavelength of 1.5418 Å, from a structure optimized by DFT (PBE).
Lines closer than 0.1° are merged.

Peak list (10 most intense, 2θ from 15° to 90°, low angle first)
27.7 deg, I 100
29.5 deg, I 34
30.1 deg, I 67
32.2 deg, I 72
33.9 deg, I 42
34.4 deg, I 41
41.4 deg, I 46
44.7 deg, I 45
47.5 deg, I 33
57.3 deg, I 28

Crystal structure
Cell: 3.946 5.556 17.818 Å, 90.00 90.00 90.00°
Positions (direct):
Pm 0.000 0.000 0.147
Pm 0.000 0.000 0.853
Pm 0.500 0.500 0.353
Pm 0.500 0.500 0.647
In 0.000 0.000 0.500
In 0.500 0.500 0.000
Te 0.000 0.000 0.323
Te 0.000 0.000 0.677
Te 0.000 0.500 0.500
Te 0.500 0.000 0.000
Te 0.500 0.500 0.177
Te 0.500 0.500 0.823

---

(3)
Simulated PXRD pattern of LiMn2TlCl6 for a wavelength of 1.5418 Å, from a structure optimized by DFT (PBE).
Lines closer than 0.1° are merged.

Peak list (10 most intense, 2θ from 15° to 90°, low angle first)
17.9 deg, I 59
20.2 deg, I 100
22.4 deg, I 68
23.3 deg, I 36
24.4 deg, I 37
26.0 deg, I 41
29.5 deg, I 31
29.9 deg, I 32
30.4 deg, I 36
38.0 deg, I 30

Crystal structure
Cell: 9.449 9.449 7.607 Å, 105.19 105.19 89.71°
Positions (direct):
Li 0.204 0.796 0.750
Li 0.796 0.204 0.250
Mn 0.235 0.388 0.318
Mn 0.388 0.235 0.818
Mn 0.612 0.765 0.182
Mn 0.765 0.612 0.682
Tl 0.123 0.877 0.250
Tl 0.877 0.123 0.750
Cl 0.039 0.204 0.192
Cl 0.161 0.618 0.453
Cl 0.204 0.039 0.692
Cl 0.306 0.418 0.045
Cl 0.382 0.839 0.047
Cl 0.418 0.306 0.545
Cl 0.582 0.694 0.455
Cl 0.618 0.161 0.953
Cl 0.694 0.582 0.955
Cl 0.796 0.961 0.308
Cl 0.839 0.382 0.547
Cl 0.961 0.796 0.808